BaAlCuNiO5: computed powder diffractogram (Cu Kα (weighted mean of Kα1 and Kα2)), based on DFT lattice parameters and positions (GGA+U).

Main lines, most intense first (5 to 70 degrees two-theta):
index, d_spacing, I_rel
1 0 2, 2.661, 100
1 1 0, 2.637, 40
2 1 2, 1.527, 36
2 0 0, 1.864, 32
1 0 1, 3.347, 30
1 1 4, 1.541, 23
1 1 1, 2.491, 20
0 0 3, 2.532, 19
0 0 1, 7.596, 14
2 0 3, 1.501, 13

a = 3.7286 Å, b = 3.7286 Å, c = 7.5957 Å
α = 90.00°, β = 90.00°, γ = 90.00°
Element x y z (fractional)
Ba 0.0000 0.0000 0.0000
Al 0.0000 0.0000 0.5035
Cu 0.5000 0.5000 0.2662
Ni 0.5000 0.5000 0.7119
O 0.0000 0.5000 0.3234
O 0.0000 0.5000 0.6431
O 0.5000 0.0000 0.3234
O 0.5000 0.0000 0.6431
O 0.5000 0.5000 0.9760